Structure and calculated XRD peak list of Tb3ErPb3 (a DFT-relaxed cell (PBE, Alexandria); Cu Kα (weighted mean of Kα1 and Kα2)).

Main lines, most intense first (10 to 90 degrees two-theta):
Position (°2θ)	I/Imax
32.6	100
44.1	88
28.8	50
18.7	37
69.8	23
66.3	23
58.2	17
34.6	16
75.9	14
32.2	12

Structure:
```
Tb3ErPb3
1.0
9.504 0.000 0.000
-4.752 8.231 0.000
0.000 0.000 6.191
Tb Er Pb
6 2 6
direct
0.023 0.328 0.250
0.305 0.977 0.250
0.328 0.305 0.750
0.672 0.695 0.250
0.695 0.023 0.750
0.977 0.672 0.750
0.333 0.667 0.750
0.667 0.333 0.250
0.002 0.347 0.750
0.345 0.998 0.750
0.347 0.345 0.250
0.653 0.655 0.750
0.655 0.002 0.250
0.998 0.653 0.250
```

***

Structure and calculated XRD peak list of Tb3ErPb2 (a DFT-relaxed cell (PBE, Alexandria); Cu Kα (weighted mean of Kα1 and Kα2)).

Main lines, most intense first (10 to 90 degrees two-theta):
Position (°2θ)	I/Imax
34.8	100
29.6	77
39.5	57
51.2	39
31.2	38
68.6	28
27.6	21
57.1	20
37.0	18
66.5	18

Structure:
```
Tb3ErPb2
1.0
4.566 0.000 0.000
0.000 4.566 0.000
0.000 0.000 8.595
Tb Er Pb
3 1 2
direct
0.000 0.000 0.000
0.000 0.500 0.658
0.500 0.000 0.342
0.500 0.500 0.000
0.000 0.500 0.284
0.500 0.000 0.716
```

***

Structure and calculated XRD peak list of TbEr7Pb2 (a DFT-relaxed cell (PBE, Alexandria); Cu Kα (weighted mean of Kα1 and Kα2)).

Main lines, most intense first (10 to 90 degrees two-theta):
Position (°2θ)	I/Imax
34.8	100
34.4	69
16.4	60
33.3	58
30.3	57
28.4	41
45.6	38
19.5	29
20.0	28
61.5	27

Structure:
```
TbEr7Pb2
1.0
4.553 -7.750 0.000
4.553 7.750 0.000
0.000 0.000 5.389
Tb Er Pb
1 7 2
direct
0.000 0.000 0.000
0.060 0.301 0.500
0.222 0.778 0.000
0.301 0.060 0.500
0.500 0.500 0.500
0.699 0.940 0.500
0.778 0.222 0.000
0.940 0.699 0.500
0.306 0.694 0.500
0.694 0.306 0.500
```

***

Structure and calculated XRD peak list of Tb3Er4Pb4 (a DFT-relaxed cell (PBE, Alexandria); Cu Kα (weighted mean of Kα1 and Kα2)).

Main lines, most intense first (10 to 90 degrees two-theta):
Position (°2θ)	I/Imax
29.1	100
31.4	91
32.6	50
36.8	45
37.4	43
58.0	34
43.4	33
33.9	31
58.2	31
55.3	23

Structure:
```
Tb3Er4Pb4
1.0
-2.084 4.696 8.566
2.084 -4.696 8.566
2.084 4.696 -8.566
Tb Er Pb
3 4 4
direct
0.000 0.000 0.000
0.392 0.892 0.500
0.608 0.108 0.500
0.024 0.330 0.694
0.364 0.670 0.694
0.636 0.330 0.306
0.976 0.670 0.306
0.251 0.251 0.000
0.290 0.500 0.790
0.710 0.500 0.210
0.749 0.749 0.000
```

***

Structure and calculated XRD peak list of Er8TePb5 (a DFT-relaxed cell (PBE, Alexandria); Cu Kα (weighted mean of Kα1 and Kα2)).

Main lines, most intense first (10 to 90 degrees two-theta):
Position (°2θ)	I/Imax
30.5	100
36.2	98
30.4	48
61.7	28
50.1	19
45.8	17
43.7	16
75.3	15
65.1	15
48.1	14

Structure:
```
Er8TePb5
1.0
-4.635 4.635 4.655
4.635 -4.635 4.655
4.635 4.635 -4.655
Er Te Pb
8 1 5
direct
0.019 0.126 0.749
0.235 0.481 0.605
0.370 0.765 0.246
0.377 0.270 0.251
0.519 0.123 0.754
0.730 0.981 0.107
0.874 0.623 0.893
0.877 0.630 0.395
0.750 0.250 0.500
0.127 0.003 0.376
0.249 0.873 0.876
0.500 0.500 0.000
0.627 0.751 0.624
0.997 0.373 0.124
```

***

Structure and calculated XRD peak list of Er4Te2Pb (a DFT-relaxed cell (PBE, Alexandria); Cu Kα (weighted mean of Kα1 and Kα2)).

Main lines, most intense first (10 to 90 degrees two-theta):
Position (°2θ)	I/Imax
30.2	100
35.4	90
35.2	83
29.7	56
26.4	31
40.1	28
37.7	19
44.7	19
49.4	18
18.6	18

Structure:
```
Er4Te2Pb
1.0
-4.773 4.773 4.662
4.773 -4.773 4.662
4.773 4.773 -4.662
Er Te Pb
8 4 2
direct
0.009 0.752 0.640
0.112 0.369 0.360
0.119 0.259 0.757
0.248 0.991 0.360
0.502 0.362 0.243
0.631 0.888 0.640
0.638 0.498 0.757
0.741 0.881 0.243
0.327 0.625 0.202
0.375 0.673 0.798
0.423 0.125 0.798
0.875 0.577 0.202
0.000 0.000 0.000
0.750 0.250 0.500
```